Record 1
Diffraction record for Pr6Dy3Er2Tm. The powder XRD pattern is theoretical, not measured: it uses DFT lattice parameters and positions (GGA-PBE) and CuKα.
Kinematic intensities with the Lorentz-polarization factor, no thermal factor.

The 10 most intense peaks (10 to 80 degrees two-theta), in order of rising 2θ:
d 2.965, 30.14°, rel. 100
d 2.818, 31.76°, rel. 29
d 2.534, 35.43°, rel. 65
d 1.828, 49.89°, rel. 25
d 1.758, 52.03°, rel. 22
d 1.556, 59.40°, rel. 15
d 1.533, 60.36°, rel. 28
d 1.491, 62.26°, rel. 13
d 1.482, 62.67°, rel. 12
d 1.267, 74.96°, rel. 7

abc: 6.331 6.331 11.467
angles: 95.28 95.28 119.99
Positions (direct):
Pr 0.084 0.417 0.751
Pr 0.250 0.250 0.249
Pr 0.417 0.084 0.751
Pr 0.583 0.916 0.249
Pr 0.750 0.750 0.751
Pr 0.916 0.583 0.249
Dy 0.000 0.000 0.500
Dy 0.333 0.667 0.500
Dy 0.667 0.333 0.500
Er 0.167 0.833 0.000
Er 0.833 0.167 0.000
Tm 0.500 0.500 0.000


Record 2
Diffraction record for ThZrZnMo. The powder XRD pattern is theoretical, not measured: it uses DFT lattice parameters and positions (GGA-PBE) and CuKα.
Kinematic intensities with the Lorentz-polarization factor, no thermal factor.

The 10 most intense peaks (10 to 80 degrees two-theta), in order of rising 2θ:
d 4.045, 21.98°, rel. 17
d 3.503, 25.43°, rel. 11
d 2.477, 36.27°, rel. 100
d 2.112, 42.81°, rel. 10
d 2.022, 44.82°, rel. 3
d 1.751, 52.23°, rel. 17
d 1.607, 57.33°, rel. 4
d 1.567, 58.96°, rel. 5
d 1.430, 65.24°, rel. 36
d 1.238, 77.00°, rel. 11

abc: 4.954 4.954 4.954
angles: 60.00 60.00 60.00
Positions (direct):
Th 0.000 0.000 0.000
Zr 0.500 0.500 0.500
Zn 0.750 0.750 0.750
Mo 0.250 0.250 0.250


Record 3
Diffraction record for PrZn4Ni6. The powder XRD pattern is theoretical, not measured: it uses DFT lattice parameters and positions (GGA-PBE) and CuKα.
Kinematic intensities with the Lorentz-polarization factor, no thermal factor.

The 10 most intense peaks (10 to 80 degrees two-theta), in order of rising 2θ:
d 2.569, 34.93°, rel. 37
d 2.353, 38.26°, rel. 100
d 2.214, 40.75°, rel. 47
d 1.974, 45.96°, rel. 34
d 1.931, 47.05°, rel. 32
d 1.751, 52.26°, rel. 26
d 1.691, 54.24°, rel. 19
d 1.503, 61.73°, rel. 16
d 1.474, 63.08°, rel. 24
d 1.284, 73.77°, rel. 15

abc: 6.765 6.765 3.949
angles: 90.00 90.00 120.00
Positions (direct):
Pr 0.000 0.000 0.000
Zn 0.333 0.667 0.000
Zn 0.412 0.206 0.500
Zn 0.794 0.206 0.500
Zn 0.794 0.588 0.500
Ni 0.209 0.419 0.500
Ni 0.209 0.791 0.500
Ni 0.535 0.070 0.000
Ni 0.535 0.465 0.000
Ni 0.581 0.791 0.500
Ni 0.930 0.465 0.000


Record 4
Diffraction record for La6Ge2IrBr3. The powder XRD pattern is theoretical, not measured: it uses DFT lattice parameters and positions (GGA-PBE) and CuKα.
Kinematic intensities with the Lorentz-polarization factor, no thermal factor.

The 10 most intense peaks (10 to 80 degrees two-theta), in order of rising 2θ:
d 7.415, 11.93°, rel. 16
d 3.144, 28.39°, rel. 100
d 3.112, 28.69°, rel. 46
d 2.280, 39.53°, rel. 17
d 2.224, 40.56°, rel. 30
d 2.199, 41.04°, rel. 37
d 2.170, 41.62°, rel. 19
d 1.825, 49.98°, rel. 10
d 1.780, 51.33°, rel. 18
d 1.572, 58.74°, rel. 11

abc: 9.889 9.889 9.121
angles: 104.25 104.25 25.35
Positions (direct):
La 0.004 0.004 0.221
La 0.326 0.326 0.431
La 0.350 0.350 0.901
La 0.650 0.650 0.099
La 0.674 0.674 0.569
La 0.996 0.996 0.779
Ge 0.164 0.164 0.338
Ge 0.836 0.836 0.662
Ir 0.500 0.500 0.000
Br 0.174 0.174 0.838
Br 0.500 0.500 0.500
Br 0.826 0.826 0.162


Record 5
Diffraction record for Tb4Tm5Pb2. The powder XRD pattern is theoretical, not measured: it uses DFT lattice parameters and positions (GGA-PBE) and CuKα.
Kinematic intensities with the Lorentz-polarization factor, no thermal factor.

The 10 most intense peaks (10 to 80 degrees two-theta), in order of rising 2θ:
d 4.539, 19.56°, rel. 10
d 2.786, 32.13°, rel. 97
d 2.656, 33.74°, rel. 20
d 2.634, 34.04°, rel. 100
d 1.914, 47.51°, rel. 33
d 1.641, 56.03°, rel. 11
d 1.548, 59.72°, rel. 34
d 1.521, 60.92°, rel. 19
d 1.425, 65.52°, rel. 13
d 1.317, 71.66°, rel. 12

abc: 15.546 15.546 15.546
angles: 19.51 19.51 19.51
Positions (direct):
Tb 0.072 0.072 0.072
Tb 0.226 0.226 0.226
Tb 0.774 0.774 0.774
Tb 0.928 0.928 0.928
Tm 0.000 0.000 0.000
Tm 0.148 0.148 0.148
Tm 0.303 0.303 0.303
Tm 0.697 0.697 0.697
Tm 0.852 0.852 0.852
Pb 0.379 0.379 0.379
Pb 0.621 0.621 0.621


Record 6
Diffraction record for GaGeTe4. The powder XRD pattern is theoretical, not measured: it uses DFT lattice parameters and positions (GGA-PBE) and CuKα.
Kinematic intensities with the Lorentz-polarization factor, no thermal factor.

The 10 most intense peaks (10 to 80 degrees two-theta), in order of rising 2θ:
d 3.351, 26.60°, rel. 100
d 3.156, 28.28°, rel. 9
d 2.958, 30.21°, rel. 14
d 2.798, 31.98°, rel. 7
d 2.575, 34.84°, rel. 15
d 2.092, 43.24°, rel. 21
d 2.033, 44.57°, rel. 36
d 1.775, 51.50°, rel. 26
d 1.704, 53.80°, rel. 14
d 1.321, 71.40°, rel. 9

abc: 6.988 6.988 6.988
angles: 129.90 129.90 73.56
Positions (direct):
Ga 0.000 0.000 0.000
Ge 0.750 0.250 0.500
Te 0.166 0.619 0.027
Te 0.381 0.408 0.547
Te 0.592 0.139 0.973
Te 0.861 0.834 0.453


Record 7
Diffraction record for Fe3Rh2. The powder XRD pattern is theoretical, not measured: it uses DFT lattice parameters and positions (GGA-PBE) and CuKα.
Kinematic intensities with the Lorentz-polarization factor, no thermal factor.

The 10 most intense peaks (10 to 80 degrees two-theta), in order of rising 2θ:
d 3.504, 25.42°, rel. 13
d 2.423, 37.11°, rel. 10
d 2.114, 42.77°, rel. 100
d 2.101, 43.05°, rel. 100
d 1.587, 58.11°, rel. 3
d 1.490, 62.30°, rel. 31
d 1.266, 74.99°, rel. 3
d 1.223, 78.13°, rel. 15
d 1.216, 78.72°, rel. 30
d 1.213, 78.92°, rel. 15

abc: 4.963 4.963 4.963
angles: 50.09 50.09 50.09
Positions (direct):
Fe 0.000 0.000 0.000
Fe 0.195 0.195 0.195
Fe 0.805 0.805 0.805
Rh 0.396 0.396 0.396
Rh 0.604 0.604 0.604


Record 8
Diffraction record for RbUTe4. The powder XRD pattern is theoretical, not measured: it uses DFT lattice parameters and positions (GGA-PBE) and CuKα.
Kinematic intensities with the Lorentz-polarization factor, no thermal factor.

The 10 most intense peaks (10 to 80 degrees two-theta), in order of rising 2θ:
d 3.343, 26.66°, rel. 100
d 2.921, 30.60°, rel. 92
d 2.757, 32.48°, rel. 58
d 2.594, 34.58°, rel. 21
d 2.559, 35.06°, rel. 28
d 2.178, 41.45°, rel. 54
d 1.841, 49.50°, rel. 35
d 1.613, 57.11°, rel. 24
d 1.581, 58.36°, rel. 16
d 1.531, 60.46°, rel. 27

abc: 6.889 6.889 9.195
angles: 90.00 90.00 90.00
Positions (direct):
Rb 0.250 0.250 0.000
Rb 0.750 0.750 0.000
U 0.250 0.250 0.500
U 0.750 0.750 0.500
Te 0.099 0.599 0.304
Te 0.099 0.901 0.696
Te 0.401 0.599 0.696
Te 0.401 0.901 0.304
Te 0.599 0.099 0.696
Te 0.599 0.401 0.304
Te 0.901 0.099 0.304
Te 0.901 0.401 0.696


Record 9
Diffraction record for Cs2ZrInCl6. The powder XRD pattern is theoretical, not measured: it uses DFT lattice parameters and positions (GGA-PBE) and CuKα.
Kinematic intensities with the Lorentz-polarization factor, no thermal factor.

The 10 most intense peaks (10 to 80 degrees two-theta), in order of rising 2θ:
d 7.235, 12.23°, rel. 22
d 4.548, 19.52°, rel. 62
d 3.863, 23.02°, rel. 100
d 3.400, 26.21°, rel. 34
d 3.122, 28.59°, rel. 23
d 2.944, 30.36°, rel. 81
d 2.552, 35.17°, rel. 39
d 2.274, 39.63°, rel. 21
d 2.230, 40.44°, rel. 23
d 1.932, 47.05°, rel. 41

abc: 15.142 15.142 15.142
angles: 29.56 29.56 29.56
Positions (direct):
Cs 0.135 0.135 0.135
Cs 0.304 0.304 0.304
Cs 0.696 0.696 0.696
Cs 0.865 0.865 0.865
Zr 0.000 0.000 0.000
Zr 0.500 0.500 0.500
In 0.418 0.418 0.418
In 0.582 0.582 0.582
Cl 0.142 0.630 0.630
Cl 0.190 0.190 0.722
Cl 0.190 0.722 0.190
Cl 0.278 0.810 0.810
Cl 0.370 0.370 0.858
Cl 0.370 0.858 0.370
Cl 0.630 0.142 0.630
Cl 0.630 0.630 0.142
Cl 0.722 0.190 0.190
Cl 0.810 0.278 0.810
Cl 0.810 0.810 0.278
Cl 0.858 0.370 0.370